Diffraction record for Nd5Th4. The X-ray diffraction stick pattern is theoretical, not measured: it uses the PBE geometry in Alexandria and copper Kα.
Neutral-atom scattering factors, no anomalous dispersion.

Main lines, sorted by position (10° ≤ 2θ ≤ 90°):
hkl, two_theta, d (Å), I (rel.)
3 0 1, 30.16, 2.963, 100
3 3 0, 34.88, 2.573, 34
0 0 2, 35.14, 2.554, 17
3 3 2, 50.35, 1.812, 24
6 3 1, 59.64, 1.550, 29
3 0 3, 59.99, 1.542, 15

Atomic structure:
Cell lengths 10.915, 10.915, 5.108 Å; angles 90.00, 90.00, 90.00 degrees
Space group I4/mmm (No. 139)
Unique sites:
Nd (0.000, 0.000, 0.000) (multiplicity 2)
Nd (0.171, 0.171, 0.500) (multiplicity 8)
Th (0.000, 0.339, 0.000) (multiplicity 8)